# Ba2V3HO9
Calculated powder diffraction line list, Cu Kα, 1.54184 Å. Input: the PBE+U geometry in Alexandria.
Neutral-atom scattering factors, no anomalous dispersion.

Most intense lines, 5° ≤ 2θ ≤ 70°, in order of rising 2θ:
| Position (°2θ) | intensity |
| --- | --- |
| 26.49 | 100 |
| 28.30 | 40 |
| 28.84 | 55 |
| 31.28 | 65 |
| 34.59 | 18 |
| 37.57 | 23 |
| 40.84 | 33 |
| 46.57 | 19 |
| 51.44 | 22 |
| 52.00 | 20 |

Structural model:
Unit cell a=7.9670 b=6.3073 c=9.2900 alpha=90.00 beta=112.56 gamma=90.00
Space group P2_1/m (No. 11)
Inequivalent atoms, fractional coordinates:
Ba1 0.1774 0.2500 0.0885 x2
Ba2 0.2382 0.7500 0.7461 x2
V1 0.0635 0.7500 0.3292 x2
V2 0.4513 0.7500 0.1651 x2
V3 0.5000 0.0000 0.5000 x2
H1 0.2248 0.2500 0.4760 x2
O1 0.9996 0.0311 0.7911 x4
O2 0.0506 0.2500 0.5473 x2
O3 0.2283 0.7500 0.0411 x2
O4 0.3077 0.7500 0.4516 x2
O5 0.3254 0.2500 0.4367 x2
O6 0.4236 0.2500 0.9481 x2
O7 0.4933 0.5130 0.2794 x4